No. 1
# InAsRhBr2
Simulated XRD peak list, CuKα. Input: a cell relaxed with PBE.
Kinematic intensities with the Lorentz-polarization factor, no thermal factor.

Most intense lines, 10 to 80 degrees two-theta, by angle:
h k l  2θ/deg  d/Å  intensity
1 0 1  25.2  3.527  39.1
1 1 1  30.2  2.960  74.8
2 0 0  32.9  2.720  100.0
0 0 2  38.9  2.317  31.5
2 2 0  47.3  1.923  35.6
2 0 2  51.8  1.764  53.8

```
data_InAsRhBr2
_symmetry_space_group_name_H-M 'P 4/m m m'
_symmetry_Int_Tables_number 123
_symmetry_space_group_name_Hall '-P 4 2'
_cell_length_a 5.4393
_cell_length_b 5.4393
_cell_length_c 4.6338
_cell_angle_alpha 90.00
_cell_angle_beta 90.00
_cell_angle_gamma 90.00
loop_
_atom_site_label
_atom_site_fract_x
_atom_site_fract_y
_atom_site_fract_z
In1 0.0000 0.0000 0.0000
As1 0.5000 0.5000 0.0000
Rh1 0.5000 0.5000 0.5000
Br1 0.0000 0.5000 0.5000
```

No. 2
# Sr2Li5Ag3
Simulated XRD peak list, CuKα. Input: a cell relaxed with PBE.
Kinematic intensities with the Lorentz-polarization factor, no thermal factor.

Most intense lines, 10 to 80 degrees two-theta, by angle:
h k l  2θ/deg  d/Å  intensity
1 0 2  24.5  3.640  60.8
1 0 3  29.4  3.040  88.0
1 1 2  31.6  2.832  100.0
1 1 3  35.6  2.520  85.5
2 0 0  40.0  2.253  64.5
1 0 5  41.7  2.167  53.9

```
data_Sr2Li5Ag3
_symmetry_space_group_name_H-M 'P -4 m 2'
_symmetry_Int_Tables_number 115
_cell_length_a 4.5057
_cell_length_b 4.5057
_cell_length_c 12.3572
_cell_angle_alpha 90.00
_cell_angle_beta 90.00
_cell_angle_gamma 90.00
loop_
_symmetry_equiv_pos_as_xyz
'x,y,z'
'y,-x,-z'
'-x,-y,z'
'-y,x,-z'
'-x,y,z'
'-y,-x,-z'
'x,-y,z'
'y,x,-z'
loop_
_atom_site_label
_atom_site_fract_x
_atom_site_fract_y
_atom_site_fract_z
Sr1 0.0000 0.5000 0.2262
Li1 0.0000 0.0000 0.5000
Li2 0.0000 0.5000 0.6443
Li3 0.5000 0.5000 0.0000
Li4 0.5000 0.5000 0.5000
Ag1 0.0000 0.0000 0.0000
Ag2 0.0000 0.5000 0.8598
```

No. 3
# Al2Bi3O9
Simulated XRD peak list, CuKα. Input: a cell relaxed with PBE.
Kinematic intensities with the Lorentz-polarization factor, no thermal factor.

Most intense lines, 10 to 80 degrees two-theta, by angle:
h k l  2θ/deg  d/Å  intensity
2 0 2  22.1  4.015  50.8
1 1 -2  22.6  3.927  100.0
2 0 -4  30.1  2.972  29.1
3 1 0  31.2  2.870  59.1
1 1 4  32.6  2.749  44.2
2 2 2  41.2  2.191  24.7

```
data_Al2Bi3O9
_symmetry_space_group_name_H-M 'C 1 c 1'
_symmetry_Int_Tables_number 9
_cell_length_a 10.3210
_cell_length_b 5.2299
_cell_length_c 13.9344
_cell_angle_alpha 90.00
_cell_angle_beta 93.73
_cell_angle_gamma 90.00
loop_
_symmetry_equiv_pos_as_xyz
'x,y,z'
'x,-y,z+1/2'
'x+1/2,y+1/2,z'
'x+1/2,-y+1/2,z+1/2'
loop_
_atom_site_label
_atom_site_fract_x
_atom_site_fract_y
_atom_site_fract_z
Al1 0.0000 0.0010 0.0000
Al2 0.3462 0.0203 0.6511
Bi1 0.0666 0.0210 0.7380
Bi2 0.2237 0.4888 0.0438
Bi3 0.4060 0.0030 0.3793
O1 0.0486 0.1848 0.8934
O2 0.0814 0.2964 0.4588
O3 0.1437 0.1268 0.0792
O4 0.2230 0.2882 0.6686
O5 0.2662 0.1336 0.2601
O6 0.3392 0.3954 0.9245
O7 0.3861 0.2096 0.5366
O8 0.4071 0.2984 0.1045
O9 0.4809 0.1148 0.7395
```

No. 4
# Tl2In2Br5
Simulated XRD peak list, CuKα. Input: a cell relaxed with PBE.
Kinematic intensities with the Lorentz-polarization factor, no thermal factor.

Most intense lines, 10 to 80 degrees two-theta, by angle:
h k l  2θ/deg  d/Å  intensity
0 0 2  22.0  4.044  36.1
0 2 0  22.2  4.007  100.0
0 2 2  31.4  2.850  45.7
8 0 0  31.8  2.810  34.7
8 0 2  39.1  2.305  24.5
8 2 2  45.3  2.001  29.3

```
data_Tl2In2Br5
_symmetry_space_group_name_H-M 'I m a 2'
_symmetry_Int_Tables_number 46
_cell_length_a 22.4786
_cell_length_b 8.0337
_cell_length_c 8.0879
_cell_angle_alpha 90.00
_cell_angle_beta 90.00
_cell_angle_gamma 90.00
loop_
_symmetry_equiv_pos_as_xyz
'x,y,z'
'-x,-y,z'
'-x+1/2,y,z'
'x+1/2,-y,z'
'x+1/2,y+1/2,z+1/2'
'-x+1/2,-y+1/2,z+1/2'
'-x,y+1/2,z+1/2'
'x,-y+1/2,z+1/2'
loop_
_atom_site_label
_atom_site_fract_x
_atom_site_fract_y
_atom_site_fract_z
Tl1 0.1098 0.0328 0.0000
In1 0.0000 0.0000 0.4271
In2 0.2500 0.5415 0.0645
Br1 0.0149 0.7459 0.1775
Br2 0.1286 0.0699 0.3984
Br3 0.2500 0.5968 0.4637
```

No. 5
# TbHf3Pd12
Simulated XRD peak list, CuKα. Input: a cell relaxed with PBE.
Kinematic intensities with the Lorentz-polarization factor, no thermal factor.

Most intense lines, 10 to 80 degrees two-theta, by angle:
h k l  2θ/deg  d/Å  intensity
1 1 4  38.6  2.333  100.0
0 0 8  44.8  2.023  15.8
2 0 0  44.9  2.018  32.8
2 2 0  65.3  1.428  30.9
1 1 12  78.4  1.220  11.4
3 1 4  78.6  1.217  24.6

```
data_TbHf3Pd12
_symmetry_space_group_name_H-M 'P 4/m m m'
_symmetry_Int_Tables_number 123
_symmetry_space_group_name_Hall '-P 4 2'
_cell_length_a 4.0369
_cell_length_b 4.0369
_cell_length_c 16.1859
_cell_angle_alpha 90.00
_cell_angle_beta 90.00
_cell_angle_gamma 90.00
loop_
_atom_site_label
_atom_site_fract_x
_atom_site_fract_y
_atom_site_fract_z
Tb1 0.0000 0.0000 0.0000
Hf1 0.0000 0.0000 0.2508
Hf2 0.0000 0.0000 0.5000
Pd1 0.0000 0.5000 0.1327
Pd2 0.0000 0.5000 0.3774
Pd3 0.5000 0.5000 0.0000
Pd4 0.5000 0.5000 0.2551
Pd5 0.5000 0.5000 0.5000
```

No. 6
# B2S3I2
Simulated XRD peak list, CuKα. Input: a cell relaxed with PBE.
Kinematic intensities with the Lorentz-polarization factor, no thermal factor.

Most intense lines, 10 to 80 degrees two-theta, by angle:
h k l  2θ/deg  d/Å  intensity
0 1 0  17.1  5.196  42.0
0 1 1  19.6  4.538  100.0
0 1 -2  20.8  4.263  54.1
0 0 3  22.1  4.030  52.6
0 1 2  24.2  3.681  41.7
0 1 -3  25.9  3.439  59.7

```
data_B2S3I2
_symmetry_space_group_name_H-M 'P -1'
_symmetry_Int_Tables_number 2
_cell_length_a 2.9647
_cell_length_b 5.4574
_cell_length_c 12.2239
_cell_angle_alpha 97.97
_cell_angle_beta 90.69
_cell_angle_gamma 105.70
loop_
_symmetry_equiv_pos_as_xyz
'x,y,z'
'-x,-y,-z'
loop_
_atom_site_label
_atom_site_fract_x
_atom_site_fract_y
_atom_site_fract_z
B1 0.1474 0.2972 0.4733
S1 0.2843 0.5578 0.6068
S2 0.5000 0.0000 0.5000
I1 0.0565 0.1244 0.8709
```